Computed X-ray diffraction stick pattern
Compound: Na9Tl4Hg11
Radiation: CuKα
Structure: a GGA-PBE-relaxed structure

Atomic structure:
```
Na9Tl4Hg11
1.0
7.304 -11.597 0.000
7.304 11.597 0.000
0.000 0.000 3.852
Na Tl Hg
9 4 11
Direct
0.000 0.000 0.000
0.122 0.646 0.000
0.294 0.460 0.000
0.354 0.878 0.000
0.460 0.294 0.000
0.540 0.706 0.000
0.646 0.122 0.000
0.706 0.540 0.000
0.878 0.354 0.000
0.060 0.250 0.000
0.250 0.060 0.000
0.750 0.940 0.000
0.940 0.750 0.000
0.095 0.457 0.500
0.150 0.850 0.500
0.248 0.248 0.500
0.335 0.665 0.500
0.457 0.095 0.500
0.500 0.500 0.500
0.543 0.905 0.500
0.665 0.335 0.500
0.752 0.752 0.500
0.850 0.150 0.500
0.905 0.543 0.500
```

Main lines, sorted by position (2θ = 10–90°):
| d (Å) | I/Imax |
| --- | --- |
| 4.421 | 16 |
| 3.858 | 23 |
| 3.653 | 17 |
| 2.937 | 14 |
| 2.728 | 62 |
| 2.652 | 100 |
| 2.186 | 10 |
| 1.926 | 14 |
| 1.562 | 16 |
| 1.559 | 19 |